# 1
Simulated powder diffraction line list of Li2Mg3Tl8 for Cu Kα (weighted mean of Kα1 and Kα2), from a DFT-relaxed cell (GGA-PBE, Alexandria).

Atomic structure:
Lattice parameters (Å, degrees): 8.5936 4.9532 8.6570 90.00 110.70 90.00
Space group P2/m (No. 10)
Unique sites:
Li1 0.2457 0.0000 0.2541 x2
Mg1 0.0000 0.0000 0.5000 x1
Mg2 0.2352 0.5000 0.7350 x2
Tl1 0.1317 0.0000 0.8977 x2
Tl2 0.1473 0.5000 0.3562 x2
Tl3 0.3754 0.5000 0.1208 x2
Tl4 0.3977 0.0000 0.6322 x2

Main lines, in order of rising 2θ (10 to 90 degrees two-theta):
d/Å, two_theta, Rel. int.
3.548, 25.10, 485
3.485, 25.56, 1000
2.493, 36.03, 479
2.478, 36.25, 727
2.452, 36.65, 235
2.031, 44.62, 215
1.742, 52.52, 170
1.565, 59.03, 103
1.442, 64.62, 103
1.433, 65.11, 119

# 2
Simulated powder diffraction line list of CaHg14Pb for Cu Kα (weighted mean of Kα1 and Kα2), from a DFT-relaxed cell (GGA-PBE, Alexandria).

Atomic structure:
Lattice parameters (Å, degrees): 7.9939 10.4461 10.2704 90.00 90.00 90.00
Space group Cmmm (No. 65)
Unique sites:
Ca1 0.0000 0.0000 0.0000 x2
Hg1 0.0000 0.0000 0.5000 x2
Hg2 0.0000 0.2306 0.2499 x8
Hg3 0.0000 0.5000 0.5000 x2
Hg4 0.2353 0.5000 0.2587 x8
Hg5 0.2500 0.2500 0.0000 x4
Hg6 0.2500 0.2500 0.5000 x4
Pb1 0.0000 0.5000 0.0000 x2

Main lines, in order of rising 2θ (10 to 90 degrees two-theta):
d/Å, two_theta, Rel. int.
2.700, 33.18, 1000
2.612, 34.34, 221
2.568, 34.95, 222
1.999, 45.38, 119
1.831, 49.80, 155
1.587, 58.12, 97
1.577, 58.53, 99
1.524, 60.77, 160
1.507, 61.55, 170
1.350, 69.65, 112

# 3
Simulated powder diffraction line list of Sm5TmSi4 for Cu Kα (weighted mean of Kα1 and Kα2), from a DFT-relaxed cell (GGA-PBE, Alexandria).

Atomic structure:
Lattice parameters (Å, degrees): 15.4166 4.9812 6.8768 90.00 90.71 90.00
Space group C2/m (No. 12)
Unique sites:
Sm1 0.0000 0.0000 0.0000 x2
Sm2 0.1642 0.5000 0.9982 x4
Sm3 0.1657 0.5000 0.5073 x4
Tm1 0.0000 0.0000 0.5000 x2
Si1 0.0081 0.5000 0.2600 x4
Si2 0.1753 0.0000 0.7491 x4

Main lines, in order of rising 2θ (10 to 90 degrees two-theta):
d/Å, two_theta, Rel. int.
3.577, 24.90, 1000
3.438, 25.91, 451
2.569, 34.92, 344
2.490, 36.07, 953
2.468, 36.40, 617
2.017, 44.94, 211
1.788, 51.07, 233
1.580, 58.39, 196
1.472, 63.17, 121
1.438, 64.86, 171

# 4
Simulated powder diffraction line list of Ho5Er12Mg for Cu Kα (weighted mean of Kα1 and Kα2), from a DFT-relaxed cell (GGA-PBE, Alexandria).

Atomic structure:
Lattice parameters (Å, degrees): 6.9961 9.2526 9.2634 69.04 79.03 79.05
Space group P1 (No. 1)
Unique sites:
Ho1 0.0000 0.0000 0.0000 x1
Ho2 0.0530 0.4434 0.3348 x1
Ho3 0.6097 0.8900 0.6669 x1
Ho4 0.7206 0.7751 0.3334 x1
Ho5 0.9442 0.5542 0.6672 x1
Er1 0.1088 0.8859 0.6693 x1
Er2 0.1659 0.3323 0.0001 x1
Er3 0.2219 0.7793 0.3309 x1
Er4 0.2778 0.2214 0.6653 x1
Er5 0.3310 0.6648 0.0002 x1
Er6 0.3868 0.1106 0.3328 x1
Er7 0.4418 0.5545 0.6667 x1
Er8 0.4975 0.9980 0.0004 x1
Er9 0.5553 0.4433 0.3353 x1
Er10 0.7750 0.2216 0.6651 x1
Er11 0.8331 0.6666 0.9996 x1
Er12 0.8889 0.1105 0.3336 x1
Mg1 0.6651 0.3325 0.0003 x1

Main lines, in order of rising 2θ (10 to 90 degrees two-theta):
d/Å, two_theta, Rel. int.
2.856, 31.32, 1000
2.474, 36.32, 506
1.749, 52.29, 298
1.748, 52.35, 59
1.491, 62.25, 389
1.428, 65.34, 122
1.135, 85.52, 60
1.135, 85.59, 119
1.107, 88.28, 56
1.106, 88.39, 98

# 5
Simulated powder diffraction line list of CoHg2Cl for Cu Kα (weighted mean of Kα1 and Kα2), from a DFT-relaxed cell (GGA-PBE, Alexandria).

Atomic structure:
Lattice parameters (Å, degrees): 3.4162 3.4162 27.2859 90.00 90.00 120.00
Space group R3m (No. 160, hexagonal axes)
Unique sites:
Co1 0.0000 0.0000 0.0000 x3
Hg1 0.0000 0.0000 0.5031 x3
Hg2 0.0000 0.0000 0.7371 x3
Cl1 0.0000 0.0000 0.2888 x3

Main lines, in order of rising 2θ (10 to 90 degrees two-theta):
d/Å, two_theta, Rel. int.
3.032, 29.46, 261
2.941, 30.39, 302
2.714, 33.00, 1000
2.601, 34.48, 395
2.235, 40.36, 440
1.712, 53.53, 149
1.708, 53.66, 279
1.488, 62.40, 192
1.446, 64.45, 145
1.366, 68.73, 139

# 6
Simulated powder diffraction line list of Nd7Sm2Dy for Cu Kα (weighted mean of Kα1 and Kα2), from a DFT-relaxed cell (GGA-PBE, Alexandria).

Atomic structure:
Lattice parameters (Å, degrees): 8.7978 16.9960 5.5356 90.00 90.00 90.00
Space group Cmmm (No. 65)
Unique sites:
Nd1 0.0000 0.0000 0.0000 x2
Nd2 0.0000 0.2874 0.5000 x4
Nd3 0.1801 0.3896 0.0000 x8
Sm1 0.0000 0.2052 0.0000 x4
Dy1 0.0000 0.5000 0.5000 x2

Main lines, in order of rising 2θ (10 to 90 degrees two-theta):
d/Å, two_theta, Rel. int.
5.536, 16.01, 383
3.371, 26.44, 252
3.056, 29.22, 494
2.768, 32.35, 455
2.751, 32.54, 1000
2.562, 35.03, 532
2.052, 44.15, 321
1.595, 57.80, 274
1.526, 60.68, 228
1.504, 61.67, 246

# 7
Simulated powder diffraction line list of Np2Pa2Te7 for Cu Kα (weighted mean of Kα1 and Kα2), from a DFT-relaxed cell (GGA-PBE, Alexandria).

Atomic structure:
Lattice parameters (Å, degrees): 4.2509 16.0233 9.7694 90.00 90.00 90.00
Space group Imm2 (No. 44)
Unique sites:
Np1 0.0000 0.0000 0.0000 x2
Np2 0.0000 0.5000 0.0500 x2
Pa1 0.0000 0.2428 0.2232 x4
Te1 0.0000 0.0000 0.3139 x2
Te2 0.0000 0.1107 0.7197 x4
Te3 0.0000 0.3200 0.9267 x4
Te4 0.0000 0.3563 0.5406 x4

Main lines, in order of rising 2θ (10 to 90 degrees two-theta):
d/Å, two_theta, Rel. int.
4.171, 21.30, 322
3.898, 22.81, 183
3.144, 28.38, 215
2.794, 32.04, 1000
2.749, 32.57, 257
2.460, 36.52, 597
2.343, 38.42, 307
2.125, 42.53, 274
1.623, 56.72, 191
1.574, 58.66, 248

# 8
Simulated powder diffraction line list of HoNpTl2O8 for Cu Kα (weighted mean of Kα1 and Kα2), from a DFT-relaxed cell (GGA-PBE, Alexandria).

Atomic structure:
Lattice parameters (Å, degrees): 7.2141 7.5514 6.8191 90.00 90.00 90.00
Space group Cmmm (No. 65)
Unique sites:
Ho1 0.0000 0.0000 0.0000 x2
Np1 0.0000 0.0000 0.5000 x2
Tl1 0.0000 0.5000 0.2464 x4
O1 0.0000 0.1713 0.2790 x8
O2 0.1970 0.5000 0.0000 x4
O3 0.2038 0.5000 0.5000 x4

Main lines, in order of rising 2θ (10 to 90 degrees two-theta):
d/Å, two_theta, Rel. int.
3.776, 23.56, 633
3.607, 24.68, 540
2.854, 31.34, 1000
2.608, 34.38, 352
1.950, 46.58, 432
1.902, 47.83, 382
1.627, 56.55, 107
1.549, 59.70, 234
1.427, 65.40, 122
1.356, 69.28, 109

# 9
Simulated powder diffraction line list of Y4GaSbN for Cu Kα (weighted mean of Kα1 and Kα2), from a DFT-relaxed cell (GGA-PBE, Alexandria).

Atomic structure:
Lattice parameters (Å, degrees): 6.5824 15.6998 6.5912 90.00 90.00 90.00
Space group Cmcm (No. 63)
Unique sites:
Y1 0.0000 0.0812 0.2500 x4
Y2 0.0000 0.4102 0.2500 x4
Y3 0.2500 0.2500 0.0000 x8
Ga1 0.0000 0.1140 0.7500 x4
Sb1 0.0000 0.3932 0.7500 x4
N1 0.0000 0.2469 0.2500 x4

Main lines, in order of rising 2θ (10 to 90 degrees two-theta):
d/Å, two_theta, Rel. int.
3.293, 27.07, 227
3.037, 29.41, 715
2.617, 34.27, 321
2.523, 35.58, 1000
2.329, 38.66, 648
1.740, 52.61, 363
1.647, 55.83, 215
1.417, 65.91, 150
1.394, 67.17, 171
1.379, 67.98, 291

# 10
Simulated powder diffraction line list of ZrI2 for Cu Kα (weighted mean of Kα1 and Kα2), from a DFT-relaxed cell (GGA-PBE, Alexandria).

Atomic structure:
Lattice parameters (Å, degrees): 14.9080 14.9080 10.4162 90.00 90.00 120.00
Space group R-3 (No. 148, hexagonal axes)
Unique sites:
Zr1 0.0397 0.1400 0.3730 x18
I1 0.0292 0.5884 0.1650 x18
I2 0.0502 0.1748 0.8155 x18

Main lines, in order of rising 2θ (10 to 90 degrees two-theta):
d/Å, two_theta, Rel. int.
8.107, 10.91, 215
3.472, 25.66, 159
3.386, 26.32, 489
2.951, 30.29, 1000
2.106, 42.94, 292
2.067, 43.79, 322
1.776, 51.44, 199
1.693, 54.17, 134
1.342, 70.12, 114
1.329, 70.88, 112

# 11
Simulated powder diffraction line list of Ce2MgI2Br4 for Cu Kα (weighted mean of Kα1 and Kα2), from a DFT-relaxed cell (GGA-PBE, Alexandria).

Atomic structure:
Lattice parameters (Å, degrees): 4.0804 4.0804 23.4093 90.00 90.00 120.00
Space group P3m1 (No. 156)
Unique sites:
Ce1 0.0000 0.0000 0.0000 x1
Ce2 0.3333 0.6667 0.3212 x1
Mg1 0.3333 0.6667 0.6724 x1
I1 0.0000 0.0000 0.5933 x1
I2 0.0000 0.0000 0.7514 x1
Br1 0.0000 0.0000 0.2399 x1
Br2 0.0000 0.0000 0.4026 x1
Br3 0.3333 0.6667 0.0813 x1
Br4 0.3333 0.6667 0.9187 x1

Main lines, in order of rising 2θ (10 to 90 degrees two-theta):
d/Å, two_theta, Rel. int.
7.803, 11.34, 677
3.534, 25.20, 678
3.025, 29.53, 322
2.821, 31.72, 1000
2.429, 37.01, 223
2.254, 40.00, 451
2.040, 44.40, 486
1.653, 55.60, 199
1.410, 66.29, 212
1.284, 73.80, 265

# 12
Simulated powder diffraction line list of Tm12Ga6C for Cu Kα (weighted mean of Kα1 and Kα2), from a DFT-relaxed cell (GGA-PBE, Alexandria).

Atomic structure:
Lattice parameters (Å, degrees): 11.4214 11.4214 12.5989 90.00 90.00 120.00
Space group R-3 (No. 148, hexagonal axes)
Unique sites:
Tm1 0.0322 0.8422 0.3877 x18
Tm2 0.0341 0.1841 0.8889 x18
Ga1 0.0049 0.6088 0.2527 x18
C1 0.0000 0.0000 0.0000 x3

Main lines, in order of rising 2θ (10 to 90 degrees two-theta):
d/Å, two_theta, Rel. int.
3.584, 24.84, 280
3.215, 27.75, 208
3.001, 29.77, 671
2.855, 31.33, 305
2.681, 33.43, 813
2.515, 35.70, 243
2.409, 37.33, 285
2.361, 38.11, 1000
1.759, 51.98, 149
1.505, 61.63, 167

# 13
Simulated powder diffraction line list of Tb3Dy2YBi6 for Cu Kα (weighted mean of Kα1 and Kα2), from a DFT-relaxed cell (GGA-PBE, Alexandria).

Atomic structure:
Lattice parameters (Å, degrees): 19.5491 4.4855 8.9723 90.00 103.20 90.00
Space group C2/m (No. 12)
Unique sites:
Tb1 0.0000 0.0000 0.0000 x2
Tb2 0.1665 0.5000 0.3332 x4
Dy1 0.1667 0.5000 0.8332 x4
Y1 0.0000 0.0000 0.5000 x2
Bi1 0.9997 0.5000 0.2501 x4
Bi2 0.1669 0.0000 0.0826 x4
Bi3 0.1666 0.0000 0.5840 x4

Main lines, in order of rising 2θ (10 to 90 degrees two-theta):
d/Å, two_theta, Rel. int.
3.663, 24.30, 50
3.172, 28.13, 1000
2.243, 40.21, 782
1.913, 47.54, 30
1.831, 49.79, 284
1.586, 58.17, 135
1.455, 63.97, 13
1.419, 65.84, 373
1.295, 73.07, 278
1.121, 86.85, 92